(1)
Computed X-ray powder pattern
Compound: GdFe10Si2
Radiation: CuKα
Structure: a structure optimized by DFT (GGA-PBE)
Intensities are scaled so that the largest is 1000.

Most intense lines, 2θ = 5–70°, low angle first:
2θ (°), intensity
21.59, 235
30.28, 188
30.52, 342
33.84, 171
37.37, 241
37.61, 526
38.03, 170
43.16, 350
43.48, 800
43.57, 603
43.98, 1000
49.36, 230

Structural model:
Lattice parameters (Å, degrees): 6.361 6.361 6.361 136.32 98.36 97.55
Fractional positions:
Gd 0.000 0.000 0.000
Fe 0.000 0.000 0.500
Fe 0.000 0.500 0.000
Fe 0.211 0.500 0.711
Fe 0.355 0.000 0.355
Fe 0.361 0.361 0.000
Fe 0.500 0.000 0.000
Fe 0.500 0.500 0.500
Fe 0.639 0.639 0.000
Fe 0.645 0.000 0.645
Fe 0.789 0.500 0.289
Si 0.237 0.737 0.500
Si 0.763 0.263 0.500



(2)
Computed X-ray powder pattern
Compound: Rb2DyAuCl6
Radiation: CuKα
Structure: a structure optimized by DFT (GGA-PBE)
Intensities are scaled so that the largest is 1000.

Most intense lines, 2θ = 5–70°, low angle first:
2θ (°), intensity
16.44, 364
23.32, 1000
33.22, 549
37.28, 189
40.99, 473
47.69, 380
50.78, 97
53.74, 220
59.36, 129
62.04, 43
64.66, 254
69.74, 59

Structural model:
Lattice parameters (Å, degrees): 7.628 7.628 7.628 60.00 60.00 60.00
Fractional positions:
Rb 0.250 0.250 0.250
Rb 0.750 0.750 0.750
Dy 0.000 0.000 0.000
Au 0.500 0.500 0.500
Cl 0.244 0.244 0.756
Cl 0.244 0.756 0.244
Cl 0.244 0.756 0.756
Cl 0.756 0.244 0.244
Cl 0.756 0.244 0.756
Cl 0.756 0.756 0.244



(3)
Computed X-ray powder pattern
Compound: MgAl2O4
Radiation: CuKα
Structure: a structure optimized by DFT (GGA-PBE)
Intensities are scaled so that the largest is 1000.

Most intense lines, 2θ = 5–70°, low angle first:
2θ (°), intensity
18.81, 325
30.96, 334
36.48, 1000
38.16, 12
44.35, 584
55.07, 96
58.73, 501
64.53, 789
67.88, 37

Structural model:
Lattice parameters (Å, degrees): 19.176 19.176 19.176 17.32 17.32 17.32
Fractional positions:
Mg 0.000 0.000 0.000
Mg 0.061 0.061 0.061
Mg 0.249 0.249 0.249
Mg 0.499 0.499 0.499
Mg 0.562 0.562 0.562
Mg 0.656 0.656 0.656
Mg 0.750 0.750 0.750
Mg 0.811 0.811 0.811
Al 0.025 0.533 0.533
Al 0.030 0.030 0.529
Al 0.030 0.529 0.030
Al 0.155 0.155 0.155
Al 0.275 0.782 0.782
Al 0.280 0.280 0.780
Al 0.280 0.780 0.280
Al 0.311 0.311 0.311
Al 0.405 0.405 0.405
Al 0.529 0.030 0.030
Al 0.533 0.025 0.533
Al 0.533 0.533 0.025
Al 0.780 0.280 0.280
Al 0.782 0.275 0.782
Al 0.782 0.782 0.275
Al 0.905 0.905 0.905
O 0.075 0.075 0.632
O 0.075 0.632 0.075
O 0.096 0.096 0.096
O 0.131 0.576 0.576
O 0.181 0.735 0.735
O 0.214 0.214 0.214
O 0.237 0.237 0.675
O 0.237 0.675 0.237
O 0.326 0.326 0.880
O 0.326 0.880 0.326
O 0.343 0.343 0.343
O 0.372 0.833 0.833
O 0.430 0.985 0.985
O 0.464 0.464 0.464
O 0.469 0.469 0.959
O 0.469 0.959 0.469
O 0.576 0.131 0.576
O 0.576 0.576 0.131
O 0.597 0.597 0.597
O 0.632 0.075 0.075
O 0.675 0.237 0.237
O 0.715 0.715 0.715
O 0.735 0.181 0.735
O 0.735 0.735 0.181
O 0.833 0.372 0.833
O 0.833 0.833 0.372
O 0.846 0.846 0.846
O 0.880 0.326 0.326
O 0.959 0.469 0.469
O 0.965 0.965 0.965
O 0.985 0.430 0.985
O 0.985 0.985 0.430



(4)
Computed X-ray powder pattern
Compound: Li3BiS3
Radiation: CuKα
Structure: a structure optimized by DFT (GGA-PBE)
Intensities are scaled so that the largest is 1000.

Most intense lines, 2θ = 5–70°, low angle first:
2θ (°), intensity
15.87, 508
15.99, 436
16.27, 341
16.70, 621
17.06, 640
17.39, 502
21.70, 393
23.08, 416
23.97, 364
29.56, 1000
37.53, 371
48.10, 306

Structural model:
Lattice parameters (Å, degrees): 11.046 11.206 12.313 66.30 71.23 88.01
Fractional positions:
Li 0.011 0.366 0.108
Li 0.015 0.752 0.461
Li 0.027 0.237 0.936
Li 0.077 0.926 0.622
Li 0.160 0.608 0.665
Li 0.182 0.956 0.170
Li 0.183 0.352 0.591
Li 0.220 0.049 0.784
Li 0.341 0.874 0.349
Li 0.397 0.581 0.500
Li 0.410 0.003 0.925
Li 0.428 0.163 0.552
Li 0.572 0.837 0.448
Li 0.590 0.997 0.075
Li 0.603 0.419 0.500
Li 0.659 0.126 0.651
Li 0.780 0.951 0.216
Li 0.817 0.648 0.409
Li 0.818 0.044 0.830
Li 0.840 0.392 0.335
Li 0.923 0.074 0.378
Li 0.973 0.763 0.064
Li 0.985 0.248 0.539
Li 0.989 0.634 0.892
Bi 0.221 0.638 0.234
Bi 0.252 0.196 0.314
Bi 0.330 0.751 0.797
Bi 0.344 0.331 0.857
Bi 0.656 0.669 0.143
Bi 0.670 0.249 0.203
Bi 0.748 0.804 0.686
Bi 0.779 0.362 0.766
S 0.027 0.766 0.239
S 0.058 0.325 0.301
S 0.111 0.836 0.842
S 0.140 0.457 0.883
S 0.141 0.976 0.368
S 0.194 0.586 0.461
S 0.211 0.111 0.958
S 0.212 0.158 0.541
S 0.355 0.753 0.583
S 0.384 0.350 0.636
S 0.390 0.843 0.140
S 0.452 0.975 0.732
S 0.548 0.025 0.268
S 0.610 0.157 0.860
S 0.616 0.650 0.364
S 0.645 0.247 0.417
S 0.788 0.842 0.459
S 0.789 0.889 0.042
S 0.806 0.414 0.539
S 0.859 0.024 0.632
S 0.860 0.543 0.117
S 0.889 0.164 0.158
S 0.942 0.675 0.699
S 0.973 0.234 0.761



(5)
Computed X-ray powder pattern
Compound: SrEuHfInO6
Radiation: CuKα
Structure: a structure optimized by DFT (GGA-PBE)
Intensities are scaled so that the largest is 1000.

Most intense lines, 2θ = 5–70°, low angle first:
2θ (°), intensity
18.45, 68
21.33, 38
30.35, 1000
35.75, 39
43.45, 295
47.58, 17
48.90, 14
53.92, 405
57.49, 15
63.14, 183
66.39, 15
67.46, 6

Structural model:
Lattice parameters (Å, degrees): 5.890 5.890 5.890 60.00 60.00 60.00
Fractional positions:
Sr 0.000 0.000 0.000
Eu 0.500 0.500 0.500
Hf 0.750 0.750 0.750
In 0.250 0.250 0.250
O 0.504 0.504 0.996
O 0.504 0.996 0.504
O 0.504 0.996 0.996
O 0.996 0.504 0.504
O 0.996 0.504 0.996
O 0.996 0.996 0.504



(6)
Computed X-ray powder pattern
Compound: CaCu4As4H2O26
Radiation: CuKα
Structure: a structure optimized by DFT (GGA-PBE)
Intensities are scaled so that the largest is 1000.

Most intense lines, 2θ = 5–70°, low angle first:
2θ (°), intensity
8.54, 1000
23.14, 92
24.99, 72
25.80, 180
26.31, 53
26.94, 81
28.24, 68
30.36, 100
30.80, 100
31.04, 93
32.41, 116
34.08, 60

Structural model:
Lattice parameters (Å, degrees): 6.470 7.813 10.660 81.04 78.74 83.25
Fractional positions:
Ca 0.000 0.000 0.000
Cu 0.102 0.621 0.587
Cu 0.402 0.908 0.409
Cu 0.598 0.092 0.591
Cu 0.898 0.379 0.413
As 0.070 0.028 0.661
As 0.421 0.401 0.347
As 0.579 0.599 0.653
As 0.930 0.972 0.339
H 0.244 0.208 0.271
H 0.756 0.792 0.729
O 0.001 0.817 0.707
O 0.078 0.107 0.799
O 0.112 0.848 0.426
O 0.128 0.460 0.729
O 0.156 0.674 0.985
O 0.175 0.439 0.443
O 0.198 0.534 0.052
O 0.318 0.040 0.557
O 0.400 0.218 0.271
O 0.402 0.668 0.550
O 0.409 0.016 0.028
O 0.493 0.836 0.256
O 0.496 0.438 0.774
O 0.504 0.562 0.226
O 0.507 0.164 0.744
O 0.591 0.984 0.972
O 0.598 0.332 0.450
O 0.600 0.782 0.729
O 0.682 0.960 0.443
O 0.802 0.466 0.948
O 0.825 0.561 0.557
O 0.844 0.326 0.015
O 0.872 0.540 0.271
O 0.888 0.152 0.574
O 0.922 0.893 0.201
O 0.999 0.183 0.293